Entry 1:
Sc4Al16Fe3: theoretical X-ray diffraction stick pattern (a wavelength of 1.5418 Å), based on a DFT-relaxed cell (PBE, Alexandria).

The 10 most intense peaks (10 to 80 degrees two-theta), by intensity:
h k l  d/Å  I_rel
2 0 3  2.293  100
2 2 0  2.086  78
1 1 3  2.744  39
1 1 1  3.898  32
4 2 3  1.240  30
2 0 4  2.005  26
4 0 0  1.475  24
2 2 5  1.509  22
0 0 5  2.186  19
3 1 3  1.660  15

Atomic structure:
```
data_Sc4Al16Fe3
_cell_length_a 5.9007
_cell_length_b 5.9007
_cell_length_c 10.9277
_cell_angle_alpha 90.00
_cell_angle_beta 90.00
_cell_angle_gamma 90.00
_space_group_name_H-M_alt 'P 4/m m m'
_space_group_IT_number 123
_space_group_name_Hall '-P 4 2'
loop_
_atom_site_label
_atom_site_fract_x
_atom_site_fract_y
_atom_site_fract_z
Sc1 0.0000 0.5000 0.1909
Al1 0.0000 0.0000 0.1940
Al2 0.2258 0.2258 0.0000
Al3 0.2503 0.2503 0.3816
Al4 0.5000 0.5000 0.2103
Fe1 0.0000 0.5000 0.5000
Fe2 0.5000 0.5000 0.0000
```

Entry 2:
Tm3Sc3Al2Fe: theoretical X-ray diffraction stick pattern (a wavelength of 1.5418 Å), based on a DFT-relaxed cell (PBE, Alexandria).

The 10 most intense peaks (10 to 80 degrees two-theta), by intensity:
h k l  d/Å  I_rel
1 1 1  2.720  100
1 1 0  4.015  59
2 0 1  2.533  46
2 1 0  2.629  36
3 1 1  1.710  30
3 0 0  2.318  27
0 0 1  3.698  21
2 0 0  3.477  20
3 2 1  1.465  19
3 1 0  1.929  18

Atomic structure:
```
data_Tm3Sc3Al2Fe
_cell_length_a 8.0307
_cell_length_b 8.0307
_cell_length_c 3.6983
_cell_angle_alpha 90.00
_cell_angle_beta 90.00
_cell_angle_gamma 120.00
_space_group_name_H-M_alt 'P -6 2 m'
_space_group_IT_number 189
_space_group_name_Hall 'P -6 -2'
loop_
_atom_site_label
_atom_site_fract_x
_atom_site_fract_y
_atom_site_fract_z
Tm1 0.0000 0.6078 0.0000
Sc1 0.0000 0.2364 0.5000
Al1 0.3333 0.6667 0.5000
Fe1 0.0000 0.0000 0.0000
```

Entry 3:
Sc2Al5ZnFe2: theoretical X-ray diffraction stick pattern (a wavelength of 1.5418 Å), based on a DFT-relaxed cell (PBE, Alexandria).

The 10 most intense peaks (10 to 80 degrees two-theta), by intensity:
h k l  d/Å  I_rel
3 1 1  2.318  100
3 2 1  2.115  64
2 2 1  2.490  48
0 0 1  4.021  38
4 1 0  2.175  36
0 0 2  2.012  35
4 1 2  1.476  25
3 1 0  2.836  20
5 1 2  1.323  13
2 0 0  4.484  12

Atomic structure:
```
data_Sc2Al5ZnFe2
_cell_length_a 8.9670
_cell_length_b 8.9670
_cell_length_c 4.0236
_cell_angle_alpha 90.00
_cell_angle_beta 90.00
_cell_angle_gamma 90.00
_space_group_name_H-M_alt 'P 4/m b m'
_space_group_IT_number 127
_space_group_name_Hall '-P 4 2ab'
loop_
_atom_site_label
_atom_site_fract_x
_atom_site_fract_y
_atom_site_fract_z
Sc1 0.1832 0.3168 0.0000
Al1 0.0000 0.5000 0.5000
Al2 0.0654 0.7868 0.5000
Zn1 0.0000 0.0000 0.0000
Fe1 0.1045 0.6045 0.0000
```